Record 1
This entry pairs a crystal structure of Pt5Au with its computed powder XRD pattern. Radiation: λ = 1.5418 Å (Cu Kα). Structure: a crystal structure in Alexandria, relaxed with GGA-PBE.
No peak broadening, texture or thermal motion is included.

The 6 most intense peaks (2θ from 5° to 70°), sorted by position:
38.96 deg, rel. 100
43.85 deg, rel. 1
44.81 deg, rel. 16
45.53 deg, rel. 33
65.80 deg, rel. 21
66.36 deg, rel. 11

Structure:
a = 2.817 Å, b = 2.817 Å, c = 12.135 Å
α = 90.00°, β = 90.00°, γ = 90.00°
Space group P4/mmm (No. 123)
Inequivalent atoms, fractional coordinates:
Pt 0.000 0.000 0.000 [1 per cell]
Pt 0.000 0.000 0.325 [2 per cell]
Pt 0.500 0.500 0.163 [2 per cell]
Au 0.500 0.500 0.500 [1 per cell]

Record 2
This entry pairs a crystal structure of H4Pd3Rh2 with its computed powder XRD pattern. Radiation: λ = 1.5418 Å (Cu Kα). Structure: a crystal structure in Alexandria, relaxed with GGA-PBE.
No peak broadening, texture or thermal motion is included.

The 8 most intense peaks (2θ from 5° to 70°), sorted by position:
36.33 deg, rel. 67
37.59 deg, rel. 61
37.87 deg, rel. 60
40.45 deg, rel. 100
45.96 deg, rel. 35
46.19 deg, rel. 34
68.14 deg, rel. 21
69.27 deg, rel. 20

Structure:
a = 7.569 Å, b = 9.892 Å, c = 4.896 Å
α = 90.00°, β = 108.01°, γ = 90.00°
Space group C2/c (No. 15)
Inequivalent atoms, fractional coordinates:
H 0.104 0.243 0.042 [8 per cell]
H 0.203 0.469 0.536 [8 per cell]
Pd 0.000 0.374 0.250 [4 per cell]
Pd 0.098 0.123 0.549 [8 per cell]
Rh 0.198 0.374 0.854 [8 per cell]

Record 3
This entry pairs a crystal structure of NdY2Tm with its computed powder XRD pattern. Radiation: λ = 1.5418 Å (Cu Kα). Structure: a crystal structure in Alexandria, relaxed with GGA-PBE.
No peak broadening, texture or thermal motion is included.

The 8 most intense peaks (2θ from 5° to 70°), sorted by position:
29.09 deg, rel. 35
30.92 deg, rel. 48
31.45 deg, rel. 100
33.96 deg, rel. 79
38.82 deg, rel. 17
50.70 deg, rel. 36
53.66 deg, rel. 22
60.57 deg, rel. 42

Structure:
a = 3.6014 Å, b = 3.6014 Å, c = 34.7060 Å
α = 90.00°, β = 90.00°, γ = 120.00°
Space group R3m (No. 160, hexagonal axes)
Inequivalent atoms, fractional coordinates:
Nd 0.0000 0.0000 0.0000 [3 per cell]
Y 0.0000 0.0000 0.5808 [3 per cell]
Y 0.0000 0.0000 0.7512 [3 per cell]
Tm 0.0000 0.0000 0.1658 [3 per cell]